# 1
Structure and calculated powder diffraction line list of HfGa2Se4 (the GGA-PBE geometry in Alexandria; λ = 1.5418 Å (Cu Kα)).

Main lines, low angle first (15 to 90 degrees two-theta):
| 2θ (°) | I (rel.) |
| --- | --- |
| 17.7 | 88 |
| 26.8 | 27 |
| 29.6 | 100 |
| 31.7 | 39 |
| 33.5 | 47 |
| 46.8 | 82 |
| 49.1 | 24 |
| 51.7 | 32 |
| 66.1 | 28 |
| 79.2 | 24 |

Crystal structure
abc: 6.3009 6.3009 6.3009
angles: 106.20 106.20 116.22
Sites, in units of the cell vectors:
Hf (0.0000, 0.0000, 0.0000)
Ga (0.2500, 0.7500, 0.5000)
Ga (0.7500, 0.2500, 0.5000)
Se (0.1667, 0.3125, 0.4792)
Se (0.3125, 0.8333, 0.1458)
Se (0.6875, 0.1667, 0.8542)
Se (0.8333, 0.6875, 0.5208)

***

# 2
Structure and calculated powder diffraction line list of Hf2GaSi4 (the GGA-PBE geometry in Alexandria; λ = 1.5418 Å (Cu Kα)).

Main lines, low angle first (15 to 90 degrees two-theta):
| 2θ (°) | I (rel.) |
| --- | --- |
| 20.0 | 67 |
| 26.9 | 100 |
| 27.5 | 38 |
| 38.1 | 42 |
| 38.4 | 63 |
| 38.6 | 91 |
| 43.7 | 19 |
| 55.4 | 22 |
| 55.6 | 63 |
| 82.4 | 20 |

Crystal structure
abc: 7.4880 7.4880 7.4880
angles: 143.49 143.49 52.59
Sites, in units of the cell vectors:
Hf (0.1102, 0.1102, 0.0000)
Hf (0.8898, 0.8898, 0.0000)
Ga (0.5000, 0.5000, 0.0000)
Si (0.0000, 0.5000, 0.5000)
Si (0.3101, 0.3101, 0.0000)
Si (0.5000, 0.0000, 0.5000)
Si (0.6899, 0.6899, 0.0000)

***

# 3
Structure and calculated powder diffraction line list of HfGaSi (the GGA-PBE geometry in Alexandria; λ = 1.5418 Å (Cu Kα)).

Main lines, low angle first (15 to 90 degrees two-theta):
| 2θ (°) | I (rel.) |
| --- | --- |
| 23.2 | 28 |
| 24.5 | 20 |
| 30.4 | 26 |
| 34.5 | 20 |
| 38.2 | 20 |
| 38.6 | 100 |
| 47.4 | 15 |
| 48.3 | 14 |
| 82.2 | 11 |
| 83.6 | 12 |

Crystal structure
abc: 7.3164 7.3164 3.8372
angles: 90.00 90.00 150.17
Sites, in units of the cell vectors:
Hf (0.1499, 0.8501, 0.0000)
Hf (0.8501, 0.1499, 0.0000)
Ga (0.0000, 0.0000, 0.5000)
Ga (0.5000, 0.5000, 0.0000)
Si (0.3099, 0.6901, 0.5000)
Si (0.6901, 0.3099, 0.5000)

***

# 4
Structure and calculated powder diffraction line list of HfTa5Ga3 (the GGA-PBE geometry in Alexandria; λ = 1.5418 Å (Cu Kα)).

Main lines, low angle first (15 to 90 degrees two-theta):
| 2θ (°) | I (rel.) |
| --- | --- |
| 19.8 | 22 |
| 29.1 | 24 |
| 29.9 | 25 |
| 34.4 | 100 |
| 36.6 | 31 |
| 38.0 | 25 |
| 38.4 | 25 |
| 39.0 | 33 |
| 40.1 | 59 |
| 43.9 | 38 |

Crystal structure
abc: 7.2941 7.2941 9.2062
angles: 117.81 117.81 68.84
Sites, in units of the cell vectors:
Hf (0.1349, 0.1349, 0.3520)
Hf (0.8651, 0.8651, 0.6480)
Ta (0.1147, 0.6719, 0.2209)
Ta (0.2454, 0.2454, 0.0480)
Ta (0.3162, 0.6838, 0.0000)
Ta (0.3281, 0.8853, 0.7791)
Ta (0.4628, 0.4628, 0.7272)
Ta (0.5372, 0.5372, 0.2728)
Ta (0.6719, 0.1147, 0.2209)
Ta (0.6838, 0.3162, 0.0000)
Ta (0.7546, 0.7546, 0.9520)
Ta (0.8853, 0.3281, 0.7791)
Ga (0.0000, 0.0000, 0.0000)
Ga (0.0000, 0.0000, 0.5000)
Ga (0.2634, 0.2634, 0.7554)
Ga (0.3734, 0.3734, 0.3952)
Ga (0.6266, 0.6266, 0.6048)
Ga (0.7366, 0.7366, 0.2446)

***

# 5
Structure and calculated powder diffraction line list of Hf2Ta2Ga7 (the GGA-PBE geometry in Alexandria; λ = 1.5418 Å (Cu Kα)).

Main lines, low angle first (15 to 90 degrees two-theta):
| 2θ (°) | I (rel.) |
| --- | --- |
| 27.5 | 21 |
| 34.2 | 21 |
| 36.7 | 47 |
| 37.1 | 100 |
| 37.9 | 37 |
| 38.9 | 39 |
| 42.4 | 23 |
| 47.2 | 22 |
| 54.0 | 22 |
| 68.0 | 25 |

Crystal structure
abc: 6.7974 6.7974 4.7548
angles: 107.92 107.92 76.76
Sites, in units of the cell vectors:
Hf (0.1920, 0.8080, 0.0000)
Hf (0.8080, 0.1920, 0.0000)
Ta (0.2570, 0.2570, 0.7955)
Ta (0.7430, 0.7430, 0.2045)
Ga (0.0000, 0.0000, 0.5000)
Ga (0.1193, 0.4957, 0.3177)
Ga (0.4957, 0.1193, 0.3177)
Ga (0.4968, 0.4968, 0.7486)
Ga (0.5032, 0.5032, 0.2514)
Ga (0.5043, 0.8807, 0.6823)
Ga (0.8807, 0.5043, 0.6823)

***

# 6
Structure and calculated powder diffraction line list of HfTaTiVGa (the GGA-PBE geometry in Alexandria; λ = 1.5418 Å (Cu Kα)).

Main lines, low angle first (15 to 90 degrees two-theta):
| 2θ (°) | I (rel.) |
| --- | --- |
| 22.2 | 12 |
| 27.8 | 39 |
| 33.6 | 8 |
| 38.9 | 53 |
| 39.4 | 100 |
| 52.3 | 10 |
| 56.2 | 18 |
| 70.8 | 35 |
| 71.7 | 16 |
| 84.7 | 10 |

Crystal structure
abc: 8.3255 8.3255 8.3255
angles: 157.32 157.32 32.29
Sites, in units of the cell vectors:
Hf (0.0000, 0.0000, 0.0000)
Ta (0.1945, 0.1945, 0.0000)
Ti (0.7959, 0.7959, 0.0000)
V (0.6060, 0.6060, 0.0000)
Ga (0.3886, 0.3886, 0.0000)

***

# 7
Structure and calculated powder diffraction line list of HfTaTiVGa (the GGA-PBE geometry in Alexandria; λ = 1.5418 Å (Cu Kα)).

Main lines, low angle first (15 to 90 degrees two-theta):
| 2θ (°) | I (rel.) |
| --- | --- |
| 22.4 | 14 |
| 28.3 | 23 |
| 28.6 | 34 |
| 36.3 | 41 |
| 36.6 | 100 |
| 45.6 | 19 |
| 50.2 | 17 |
| 50.7 | 14 |
| 55.6 | 13 |
| 64.0 | 16 |

Crystal structure
abc: 3.5986 3.9768 6.3134
angles: 90.00 90.00 90.00
Sites, in units of the cell vectors:
Hf (0.0000, 0.0000, 0.0000)
Ta (0.5000, 0.0000, 0.5277)
Ti (0.0000, 0.5000, 0.5203)
V (0.5000, 0.5000, 0.8097)
Ga (0.5000, 0.5000, 0.2027)

***

# 8
Structure and calculated powder diffraction line list of HfTaTiVGa (the GGA-PBE geometry in Alexandria; λ = 1.5418 Å (Cu Kα)).

Main lines, low angle first (15 to 90 degrees two-theta):
| 2θ (°) | I (rel.) |
| --- | --- |
| 17.7 | 41 |
| 24.5 | 20 |
| 28.9 | 40 |
| 38.3 | 97 |
| 38.9 | 100 |
| 39.5 | 47 |
| 41.3 | 48 |
| 53.0 | 19 |
| 68.0 | 19 |
| 69.3 | 21 |

Crystal structure
abc: 5.2828 5.2828 6.8805
angles: 130.49 130.49 38.20
Sites, in units of the cell vectors:
Hf (0.0000, 0.0000, 0.0000)
Ta (0.6168, 0.6168, 0.7996)
Ti (0.8074, 0.8074, 0.4313)
V (0.1845, 0.1845, 0.5783)
Ga (0.4014, 0.4014, 0.2267)

***

# 9
Structure and calculated powder diffraction line list of Hf2Ga7Tc2 (the GGA-PBE geometry in Alexandria; λ = 1.5418 Å (Cu Kα)).

Main lines, low angle first (15 to 90 degrees two-theta):
| 2θ (°) | I (rel.) |
| --- | --- |
| 27.0 | 30 |
| 32.5 | 16 |
| 33.4 | 15 |
| 38.1 | 100 |
| 39.0 | 16 |
| 41.0 | 16 |
| 41.8 | 26 |
| 41.9 | 32 |
| 46.3 | 16 |
| 60.1 | 16 |

Crystal structure
abc: 9.4540 9.4540 9.4540
angles: 161.27 48.65 135.53
Sites, in units of the cell vectors:
Hf (0.2402, 0.0000, 0.2402)
Hf (0.7598, 0.0000, 0.7598)
Ga (0.0908, 0.7263, 0.3645)
Ga (0.1072, 0.1072, 0.0000)
Ga (0.3618, 0.7263, 0.6355)
Ga (0.4091, 0.5297, 0.8794)
Ga (0.6504, 0.5297, 0.1206)
Ga (0.7369, 0.3504, 0.3865)
Ga (0.9639, 0.3504, 0.6135)
Tc (0.4136, 0.9136, 0.5000)
Tc (0.7417, 0.7417, 0.0000)

***

# 10
Structure and calculated powder diffraction line list of Hf2Ga4Tc (the GGA-PBE geometry in Alexandria; λ = 1.5418 Å (Cu Kα)).

Main lines, low angle first (15 to 90 degrees two-theta):
| 2θ (°) | I (rel.) |
| --- | --- |
| 19.3 | 11 |
| 22.7 | 11 |
| 31.4 | 20 |
| 39.1 | 100 |
| 43.7 | 18 |
| 46.3 | 15 |
| 46.5 | 15 |
| 77.2 | 14 |
| 80.9 | 12 |
| 81.3 | 12 |

Crystal structure
abc: 5.7061 5.6928 5.5353
angles: 61.07 60.83 58.10
Sites, in units of the cell vectors:
Hf (0.0000, 0.0000, 0.5000)
Hf (0.5000, 0.5000, 0.0000)
Ga (0.0007, 0.4991, 0.5009)
Ga (0.4991, 0.0007, 0.9993)
Ga (0.5011, 0.9993, 0.4989)
Ga (0.9993, 0.5011, 0.0007)
Tc (0.5000, 0.5000, 0.5000)

***

# 11
Structure and calculated powder diffraction line list of HfGa2Te4 (the GGA-PBE geometry in Alexandria; λ = 1.5418 Å (Cu Kα)).

Main lines, low angle first (15 to 90 degrees two-theta):
| 2θ (°) | I (rel.) |
| --- | --- |
| 16.7 | 44 |
| 25.1 | 33 |
| 27.8 | 100 |
| 31.5 | 41 |
| 33.7 | 22 |
| 43.8 | 56 |
| 45.9 | 25 |
| 48.4 | 39 |
| 61.6 | 31 |
| 73.7 | 24 |

Crystal structure
abc: 6.7005 6.7005 6.7005
angles: 106.31 106.31 115.99
Sites, in units of the cell vectors:
Hf (0.0000, 0.0000, 0.0000)
Ga (0.2500, 0.7500, 0.5000)
Ga (0.7500, 0.2500, 0.5000)
Te (0.1806, 0.3108, 0.4914)
Te (0.3108, 0.8194, 0.1301)
Te (0.6892, 0.1806, 0.8699)
Te (0.8194, 0.6892, 0.5086)

***

# 12
Structure and calculated powder diffraction line list of HfGaTe4 (the GGA-PBE geometry in Alexandria; λ = 1.5418 Å (Cu Kα)).

Main lines, low angle first (15 to 90 degrees two-theta):
| 2θ (°) | I (rel.) |
| --- | --- |
| 22.7 | 26 |
| 32.2 | 94 |
| 32.4 | 96 |
| 36.2 | 25 |
| 38.0 | 18 |
| 46.4 | 100 |
| 57.7 | 16 |
| 62.6 | 17 |
| 67.7 | 30 |
| 77.1 | 27 |

Crystal structure
abc: 7.8213 7.8213 6.4201
angles: 90.00 90.00 90.00
Sites, in units of the cell vectors:
Hf (0.0000, 0.0000, 0.0000)
Hf (0.0000, 0.0000, 0.5000)
Ga (0.0000, 0.5000, 0.2500)
Ga (0.5000, 0.0000, 0.7500)
Te (0.2344, 0.2442, 0.8403)
Te (0.2344, 0.7558, 0.6597)
Te (0.2442, 0.2344, 0.3403)
Te (0.2442, 0.7656, 0.1597)
Te (0.7558, 0.2344, 0.1597)
Te (0.7558, 0.7656, 0.3403)
Te (0.7656, 0.2442, 0.6597)
Te (0.7656, 0.7558, 0.8403)